# 1
This entry pairs a crystal structure of Na2NdInSb2 with its computed powder diffraction line list. Radiation: Cu Kα (λ = 1.5418 Å). Structure: a DFT-relaxed cell (GGA-PBE, Alexandria).

Peak list (12 most intense, 5 to 70 degrees two-theta, sorted by position)
2θ = 9.4°, rel. 56
2θ = 13.7°, rel. 33
2θ = 21.4°, rel. 20
2θ = 24.5°, rel. 29
2θ = 28.6°, rel. 76
2θ = 30.2°, rel. 100
2θ = 36.0°, rel. 19
2θ = 36.6°, rel. 52
2θ = 40.9°, rel. 28
2θ = 42.0°, rel. 26
2θ = 51.7°, rel. 16
2θ = 60.1°, rel. 16

Structural model:
Unit cell a=4.4125 b=9.4202 c=8.8318 alpha=90.00 beta=90.00 gamma=90.00
Fractional positions:
Na 0.0000 0.0809 0.0000
Na 0.0000 0.9191 0.5000
Na 0.5000 0.1919 0.2931
Na 0.5000 0.8081 0.7931
Nd 0.5000 0.4350 0.8742
Nd 0.5000 0.5650 0.3742
In 0.0000 0.2616 0.5555
In 0.0000 0.7384 0.0555
Sb 0.0000 0.4296 0.1472
Sb 0.0000 0.5704 0.6472
Sb 0.5000 0.1335 0.7424
Sb 0.5000 0.8665 0.2424



# 2
This entry pairs a crystal structure of CaPr6Te8 with its computed powder diffraction line list. Radiation: Cu Kα (λ = 1.5418 Å). Structure: a DFT-relaxed cell (GGA-PBE, Alexandria).

Peak list (12 most intense, 5 to 70 degrees two-theta, sorted by position)
2θ = 13.8°, rel. 8
2θ = 19.6°, rel. 8
2θ = 27.9°, rel. 100
2θ = 31.3°, rel. 5
2θ = 34.4°, rel. 4
2θ = 39.9°, rel. 76
2θ = 42.4°, rel. 3
2θ = 44.8°, rel. 2
2θ = 49.4°, rel. 27
2θ = 53.6°, rel. 2
2θ = 57.7°, rel. 13
2θ = 65.3°, rel. 35

Structural model:
Unit cell a=9.0435 b=9.0435 c=9.0435 alpha=60.00 beta=60.00 gamma=60.00
Fractional positions:
Ca 0.0000 0.0000 0.0000
Pr 0.0000 0.0000 0.5000
Pr 0.0000 0.5000 0.0000
Pr 0.0000 0.5000 0.5000
Pr 0.5000 0.0000 0.0000
Pr 0.5000 0.0000 0.5000
Pr 0.5000 0.5000 0.0000
Te 0.2500 0.2500 0.2500
Te 0.2512 0.2512 0.7488
Te 0.2512 0.7488 0.2512
Te 0.2512 0.7488 0.7488
Te 0.7488 0.2512 0.2512
Te 0.7488 0.2512 0.7488
Te 0.7488 0.7488 0.2512
Te 0.7500 0.7500 0.7500



# 3
This entry pairs a crystal structure of Th6FeI15 with its computed powder diffraction line list. Radiation: Cu Kα (λ = 1.5418 Å). Structure: a DFT-relaxed cell (GGA-PBE, Alexandria).

Peak list (12 most intense, 5 to 70 degrees two-theta, sorted by position)
2θ = 10.1°, rel. 49
2θ = 17.6°, rel. 16
2θ = 27.0°, rel. 36
2θ = 28.9°, rel. 100
2θ = 34.0°, rel. 21
2θ = 37.1°, rel. 11
2θ = 41.3°, rel. 73
2θ = 51.2°, rel. 25
2θ = 54.5°, rel. 14
2θ = 58.8°, rel. 14
2θ = 59.8°, rel. 11
2θ = 67.7°, rel. 30

Structural model:
Unit cell a=10.7135 b=10.7135 c=10.7135 alpha=109.47 beta=109.47 gamma=109.47
Fractional positions:
Th 0.0000 0.2276 0.2276
Th 0.0000 0.7724 0.7724
Th 0.2276 0.0000 0.2276
Th 0.2276 0.2276 0.0000
Th 0.7724 0.0000 0.7724
Th 0.7724 0.7724 0.0000
Fe 0.0000 0.0000 0.0000
I 0.0000 0.2527 0.7473
I 0.0000 0.5000 0.5000
I 0.0000 0.7473 0.2527
I 0.2527 0.0000 0.7473
I 0.2527 0.2527 0.5053
I 0.2527 0.5053 0.2527
I 0.2527 0.7473 0.0000
I 0.4947 0.7473 0.7473
I 0.5000 0.0000 0.5000
I 0.5000 0.5000 0.0000
I 0.5053 0.2527 0.2527
I 0.7473 0.0000 0.2527
I 0.7473 0.2527 0.0000
I 0.7473 0.4947 0.7473
I 0.7473 0.7473 0.4947